Structure and calculated X-ray diffraction stick pattern of Nb5SiSn2 (a GGA-PBE-relaxed structure; Cu Kα (weighted mean of Kα1 and Kα2)).
Intensities are scaled so that the largest is 100.

Cell and atoms:
a = 10.675 Å, b = 10.675 Å, c = 5.167 Å
α = 90.00°, β = 90.00°, γ = 90.00°
Space group I4/mcm (No. 140)
Unique sites:
Nb1 0.000 0.500 0.250 x4
Nb2 0.070 0.211 0.000 x16
Si1 0.000 0.000 0.250 x4
Sn1 0.169 0.331 0.500 x8

Top 10 peaks for 2θ from 15° to 90°, sorted by position:
hkl, two_theta, d/Å, intensity
0 0 2, 34.7, 2.584, 22.3
3 2 1, 34.9, 2.569, 24.6
3 3 0, 35.7, 2.516, 23.2
4 2 0, 37.7, 2.387, 22.0
2 0 2, 38.7, 2.325, 23.2
4 1 1, 38.9, 2.315, 100.0
2 2 2, 42.4, 2.132, 14.8
5 5 0, 61.4, 1.510, 11.5
5 3 2, 62.1, 1.494, 13.7
4 1 3, 65.0, 1.434, 22.0